[1]
For CuNi3, DFT lattice parameters and positions (GGA-PBE) gives the simulated X-ray powder pattern in this record (λ = 1.5418 Å (Cu Kα)).
Intensities are scaled so that the largest is 100.

Largest 6 diffraction maxima, in order of rising 2θ, 2θ from 10° to 90°:
2theta	I_rel
45.70	50
45.85	100
66.61	15
84.57	15
84.69	14
84.96	15

Crystal structure
```
data_CuNi3
_chemical_formula_sum 'Cu2 Ni6'
_space_group_name_H-M_alt 'P 1'
_space_group_IT_number 1
_cell_length_a 2.790
_cell_length_b 3.974
_cell_length_c 7.935
_cell_angle_alpha 90.00
_cell_angle_beta 90.00
_cell_angle_gamma 90.00
loop_
_space_group_symop_operation_xyz
'x,y,z'
loop_
_atom_site_label
_atom_site_fract_x
_atom_site_fract_y
_atom_site_fract_z
Cu1 0.000 0.000 0.000
Cu2 0.500 0.500 0.000
Ni1 0.000 0.000 0.500
Ni2 0.000 0.500 0.255
Ni3 0.000 0.500 0.745
Ni4 0.500 0.000 0.255
Ni5 0.500 0.000 0.745
Ni6 0.500 0.500 0.500
```

[2]
For CuNi, DFT lattice parameters and positions (GGA-PBE) gives the simulated X-ray powder pattern in this record (λ = 1.5418 Å (Cu Kα)).
Intensities are scaled so that the largest is 100.

Largest 6 diffraction maxima, in order of rising 2θ, 2θ from 10° to 90°:
2theta	I_rel
41.72	25
43.69	29
47.38	100
62.00	14
76.16	14
82.91	17

Crystal structure
```
data_CuNi
_chemical_formula_sum 'Cu1 Ni1'
_space_group_name_H-M_alt 'P 1'
_space_group_IT_number 1
_cell_length_a 2.500
_cell_length_b 2.500
_cell_length_c 4.144
_cell_angle_alpha 90.00
_cell_angle_beta 90.00
_cell_angle_gamma 120.00
loop_
_space_group_symop_operation_xyz
'x,y,z'
loop_
_atom_site_label
_atom_site_fract_x
_atom_site_fract_y
_atom_site_fract_z
Cu1 0.000 0.000 0.000
Ni1 0.667 0.333 0.500
```

[3]
For CuNi3S8, DFT lattice parameters and positions (GGA-PBE) gives the simulated X-ray powder pattern in this record (λ = 1.5418 Å (Cu Kα)).
Intensities are scaled so that the largest is 100.

Largest 6 diffraction maxima, in order of rising 2θ, 2θ from 10° to 90°:
2theta	I_rel
27.14	24
31.53	100
45.00	26
45.37	25
53.34	21
53.51	42

Crystal structure
```
data_CuNi3S8
_chemical_formula_sum 'Cu1 Ni3 S8'
_space_group_name_H-M_alt 'P 1'
_space_group_IT_number 1
_cell_length_a 5.676
_cell_length_b 5.676
_cell_length_c 5.676
_cell_angle_alpha 90.44
_cell_angle_beta 90.44
_cell_angle_gamma 90.44
loop_
_space_group_symop_operation_xyz
'x,y,z'
loop_
_atom_site_label
_atom_site_fract_x
_atom_site_fract_y
_atom_site_fract_z
Cu1 0.000 0.000 0.000
Ni1 0.000 0.500 0.500
Ni2 0.500 0.000 0.500
Ni3 0.500 0.500 0.000
S1 0.109 0.597 0.890
S2 0.110 0.891 0.403
S3 0.394 0.394 0.394
S4 0.403 0.110 0.891
S5 0.597 0.890 0.109
S6 0.606 0.606 0.606
S7 0.890 0.109 0.597
S8 0.891 0.403 0.110
```

[4]
For CuNiSbS3, DFT lattice parameters and positions (GGA-PBE) gives the simulated X-ray powder pattern in this record (λ = 1.5418 Å (Cu Kα)).
Intensities are scaled so that the largest is 100.

Largest 6 diffraction maxima, in order of rising 2θ, 2θ from 10° to 90°:
2theta	I_rel
28.20	63
30.05	100
30.67	27
48.64	24
49.64	48
57.18	20

Crystal structure
```
data_CuNiSbS3
_chemical_formula_sum 'Cu4 Ni4 Sb4 S12'
_space_group_name_H-M_alt 'P 1'
_space_group_IT_number 1
_cell_length_a 4.893
_cell_length_b 7.488
_cell_length_c 12.445
_cell_angle_alpha 90.00
_cell_angle_beta 90.00
_cell_angle_gamma 90.00
loop_
_space_group_symop_operation_xyz
'x,y,z'
loop_
_atom_site_label
_atom_site_fract_x
_atom_site_fract_y
_atom_site_fract_z
Cu1 0.025 0.119 0.438
Cu2 0.475 0.881 0.938
Cu3 0.525 0.381 0.562
Cu4 0.975 0.619 0.062
Ni1 0.005 0.628 0.749
Ni2 0.495 0.372 0.249
Ni3 0.505 0.872 0.251
Ni4 0.995 0.128 0.751
Sb1 0.059 0.125 0.133
Sb2 0.441 0.875 0.633
Sb3 0.559 0.375 0.867
Sb4 0.941 0.625 0.367
S1 0.215 0.129 0.909
S2 0.222 0.629 0.907
S3 0.224 0.377 0.705
S4 0.276 0.623 0.205
S5 0.278 0.371 0.407
S6 0.285 0.871 0.409
S7 0.715 0.371 0.091
S8 0.722 0.871 0.093
S9 0.724 0.123 0.295
S10 0.776 0.877 0.795
S11 0.778 0.129 0.593
S12 0.785 0.629 0.591
```

[5]
For Cu4Si2NiS7, DFT lattice parameters and positions (GGA-PBE) gives the simulated X-ray powder pattern in this record (λ = 1.5418 Å (Cu Kα)).
Intensities are scaled so that the largest is 100.

Largest 6 diffraction maxima, in order of rising 2θ, 2θ from 10° to 90°:
2theta	I_rel
29.70	100
29.83	98
49.28	40
49.51	39
50.17	20
58.20	25

Crystal structure
```
data_Cu4Si2NiS7
_chemical_formula_sum 'Cu4 Si2 Ni1 S7'
_space_group_name_H-M_alt 'P 1'
_space_group_IT_number 1
_cell_length_a 6.344
_cell_length_b 6.344
_cell_length_c 8.171
_cell_angle_alpha 97.94
_cell_angle_beta 97.94
_cell_angle_gamma 49.19
loop_
_space_group_symop_operation_xyz
'x,y,z'
loop_
_atom_site_label
_atom_site_fract_x
_atom_site_fract_y
_atom_site_fract_z
Cu1 0.140 0.140 0.435
Cu2 0.276 0.304 0.861
Cu3 0.696 0.724 0.139
Cu4 0.860 0.860 0.565
Si1 0.398 0.453 0.282
Si2 0.547 0.602 0.718
Ni1 0.981 0.019 0.000
S1 0.039 0.531 0.351
S2 0.176 0.698 0.787
S3 0.302 0.824 0.213
S4 0.469 0.961 0.649
S5 0.593 0.131 0.086
S6 0.712 0.288 0.500
S7 0.869 0.407 0.914
```

[6]
For CuNi3Sn2S8, DFT lattice parameters and positions (GGA-PBE) gives the simulated X-ray powder pattern in this record (λ = 1.5418 Å (Cu Kα)).
Intensities are scaled so that the largest is 100.

Largest 6 diffraction maxima, in order of rising 2θ, 2θ from 10° to 90°:
2theta	I_rel
15.31	49
29.31	100
29.44	44
29.76	71
35.56	65
51.64	98

Crystal structure
```
data_CuNi3Sn2S8
_chemical_formula_sum 'Cu1 Ni3 Sn2 S8'
_space_group_name_H-M_alt 'P 1'
_space_group_IT_number 1
_cell_length_a 7.082
_cell_length_b 7.082
_cell_length_c 7.082
_cell_angle_alpha 119.71
_cell_angle_beta 119.17
_cell_angle_gamma 90.97
loop_
_space_group_symop_operation_xyz
'x,y,z'
loop_
_atom_site_label
_atom_site_fract_x
_atom_site_fract_y
_atom_site_fract_z
Cu1 0.000 0.000 0.000
Ni1 0.238 0.738 0.500
Ni2 0.618 0.368 0.750
Ni3 0.618 0.868 0.250
Sn1 0.118 0.369 0.750
Sn2 0.619 0.369 0.250
S1 0.383 0.124 0.740
S2 0.383 0.643 0.260
S3 0.391 0.114 0.277
S4 0.397 0.625 0.771
S5 0.837 0.114 0.723
S6 0.851 0.096 0.245
S7 0.851 0.605 0.755
S8 0.854 0.625 0.229
```

[7]
For Cu2NiSn3S8, DFT lattice parameters and positions (GGA-PBE) gives the simulated X-ray powder pattern in this record (λ = 1.5418 Å (Cu Kα)).
Intensities are scaled so that the largest is 100.

Largest 6 diffraction maxima, in order of rising 2θ, 2θ from 10° to 90°:
2theta	I_rel
28.43	100
28.68	27
34.55	60
45.36	21
49.42	46
49.91	44

Crystal structure
```
data_Cu2NiSn3S8
_chemical_formula_sum 'Cu2 Ni1 Sn3 S8'
_space_group_name_H-M_alt 'P 1'
_space_group_IT_number 1
_cell_length_a 7.310
_cell_length_b 7.310
_cell_length_c 7.310
_cell_angle_alpha 60.61
_cell_angle_beta 60.61
_cell_angle_gamma 60.61
loop_
_space_group_symop_operation_xyz
'x,y,z'
loop_
_atom_site_label
_atom_site_fract_x
_atom_site_fract_y
_atom_site_fract_z
Cu1 0.118 0.118 0.118
Cu2 0.882 0.882 0.882
Ni1 0.500 0.500 0.500
Sn1 0.000 0.500 0.500
Sn2 0.500 0.000 0.500
Sn3 0.500 0.500 0.000
S1 0.249 0.249 0.249
S2 0.264 0.264 0.733
S3 0.264 0.733 0.264
S4 0.267 0.736 0.736
S5 0.733 0.264 0.264
S6 0.736 0.267 0.736
S7 0.736 0.736 0.267
S8 0.751 0.751 0.751
```

[8]
For Ti3Cu2NiS8, DFT lattice parameters and positions (GGA-PBE) gives the simulated X-ray powder pattern in this record (λ = 1.5418 Å (Cu Kα)).
Intensities are scaled so that the largest is 100.

Largest 6 diffraction maxima, in order of rising 2θ, 2θ from 10° to 90°:
2theta	I_rel
25.48	44
29.42	50
29.77	100
36.04	75
51.45	84
52.34	78

Crystal structure
```
data_Ti3Cu2NiS8
_chemical_formula_sum 'Ti3 Cu2 Ni1 S8'
_space_group_name_H-M_alt 'P 1'
_space_group_IT_number 1
_cell_length_a 7.107
_cell_length_b 7.107
_cell_length_c 7.107
_cell_angle_alpha 58.94
_cell_angle_beta 58.94
_cell_angle_gamma 58.94
loop_
_space_group_symop_operation_xyz
'x,y,z'
loop_
_atom_site_label
_atom_site_fract_x
_atom_site_fract_y
_atom_site_fract_z
Ti1 0.000 0.500 0.500
Ti2 0.500 0.000 0.500
Ti3 0.500 0.500 0.000
Cu1 0.124 0.124 0.124
Cu2 0.876 0.876 0.876
Ni1 0.500 0.500 0.500
S1 0.254 0.254 0.254
S2 0.260 0.260 0.729
S3 0.260 0.729 0.260
S4 0.271 0.740 0.740
S5 0.729 0.260 0.260
S6 0.740 0.271 0.740
S7 0.740 0.740 0.271
S8 0.746 0.746 0.746
```

[9]
For Sc2CuNi, DFT lattice parameters and positions (GGA-PBE) gives the simulated X-ray powder pattern in this record (λ = 1.5418 Å (Cu Kα)).
Intensities are scaled so that the largest is 100.

Largest 6 diffraction maxima, in order of rising 2θ, 2θ from 10° to 90°:
2theta	I_rel
27.86	5
39.80	100
57.55	16
65.12	2
72.26	30
85.81	9

Crystal structure
```
data_Sc2CuNi
_chemical_formula_sum 'Sc8 Cu4 Ni4'
_space_group_name_H-M_alt 'P 1'
_space_group_IT_number 1
_cell_length_a 6.406
_cell_length_b 6.406
_cell_length_c 6.406
_cell_angle_alpha 90.00
_cell_angle_beta 90.00
_cell_angle_gamma 90.00
loop_
_space_group_symop_operation_xyz
'x,y,z'
loop_
_atom_site_label
_atom_site_fract_x
_atom_site_fract_y
_atom_site_fract_z
Sc1 0.250 0.250 0.250
Sc2 0.250 0.250 0.750
Sc3 0.250 0.750 0.250
Sc4 0.250 0.750 0.750
Sc5 0.750 0.250 0.250
Sc6 0.750 0.250 0.750
Sc7 0.750 0.750 0.250
Sc8 0.750 0.750 0.750
Cu1 0.000 0.000 0.000
Cu2 0.000 0.500 0.500
Cu3 0.500 0.000 0.500
Cu4 0.500 0.500 0.000
Ni1 0.000 0.000 0.500
Ni2 0.000 0.500 0.000
Ni3 0.500 0.000 0.000
Ni4 0.500 0.500 0.500
```

[10]
For SrCu3NiSe4, DFT lattice parameters and positions (GGA-PBE) gives the simulated X-ray powder pattern in this record (λ = 1.5418 Å (Cu Kα)).
Intensities are scaled so that the largest is 100.

Largest 6 diffraction maxima, in order of rising 2θ, 2θ from 10° to 90°:
2theta	I_rel
14.74	18
25.67	93
42.54	100
50.35	37
61.73	14
77.86	26

Crystal structure
```
data_SrCu3NiSe4
_chemical_formula_sum 'Sr1 Cu3 Ni1 Se4'
_space_group_name_H-M_alt 'P 1'
_space_group_IT_number 1
_cell_length_a 6.011
_cell_length_b 6.011
_cell_length_c 6.011
_cell_angle_alpha 90.00
_cell_angle_beta 90.00
_cell_angle_gamma 90.00
loop_
_space_group_symop_operation_xyz
'x,y,z'
loop_
_atom_site_label
_atom_site_fract_x
_atom_site_fract_y
_atom_site_fract_z
Sr1 0.000 0.000 0.000
Cu1 0.000 0.500 0.500
Cu2 0.500 0.000 0.500
Cu3 0.500 0.500 0.000
Ni1 0.500 0.500 0.500
Se1 0.277 0.277 0.723
Se2 0.277 0.723 0.277
Se3 0.723 0.277 0.277
Se4 0.723 0.723 0.723
```

[11]
For UCu2Si2Ni8, DFT lattice parameters and positions (GGA-PBE) gives the simulated X-ray powder pattern in this record (λ = 1.5418 Å (Cu Kα)).
Intensities are scaled so that the largest is 100.

Largest 6 diffraction maxima, in order of rising 2θ, 2θ from 10° to 90°:
2theta	I_rel
30.51	27
36.92	28
37.98	59
43.31	61
43.87	57
44.57	100

Crystal structure
```
data_UCu2Si2Ni8
_chemical_formula_sum 'U1 Cu2 Si2 Ni8'
_space_group_name_H-M_alt 'P 1'
_space_group_IT_number 1
_cell_length_a 8.138
_cell_length_b 6.302
_cell_length_c 6.194
_cell_angle_alpha 81.27
_cell_angle_beta 49.95
_cell_angle_gamma 48.78
loop_
_space_group_symop_operation_xyz
'x,y,z'
loop_
_atom_site_label
_atom_site_fract_x
_atom_site_fract_y
_atom_site_fract_z
U1 0.000 0.000 0.000
Cu1 0.000 0.000 0.500
Cu2 0.500 0.500 0.000
Si1 0.000 0.500 0.000
Si2 0.500 0.000 0.500
Ni1 0.006 0.346 0.654
Ni2 0.278 0.495 0.505
Ni3 0.346 0.006 0.994
Ni4 0.495 0.278 0.722
Ni5 0.505 0.722 0.278
Ni6 0.654 0.994 0.006
Ni7 0.722 0.505 0.495
Ni8 0.994 0.654 0.346
```

[12]
For U2Cu3Si4Ni, DFT lattice parameters and positions (GGA-PBE) gives the simulated X-ray powder pattern in this record (λ = 1.5418 Å (Cu Kα)).
Intensities are scaled so that the largest is 100.

Largest 6 diffraction maxima, in order of rising 2θ, 2θ from 10° to 90°:
2theta	I_rel
24.26	71
35.45	56
36.96	100
45.96	35
59.35	26
79.09	22

Crystal structure
```
data_U2Cu3Si4Ni
_chemical_formula_sum 'U2 Cu3 Si4 Ni1'
_space_group_name_H-M_alt 'P 1'
_space_group_IT_number 1
_cell_length_a 3.949
_cell_length_b 3.949
_cell_length_c 9.901
_cell_angle_alpha 90.00
_cell_angle_beta 90.00
_cell_angle_gamma 90.00
loop_
_space_group_symop_operation_xyz
'x,y,z'
loop_
_atom_site_label
_atom_site_fract_x
_atom_site_fract_y
_atom_site_fract_z
U1 0.000 0.500 0.246
U2 0.500 0.000 0.754
Cu1 0.000 0.000 0.000
Cu2 0.000 0.000 0.500
Cu3 0.500 0.500 0.500
Si1 0.000 0.500 0.637
Si2 0.000 0.500 0.873
Si3 0.500 0.000 0.127
Si4 0.500 0.000 0.363
Ni1 0.500 0.500 0.000
```

[13]
For TbCuNi4, DFT lattice parameters and positions (GGA-PBE) gives the simulated X-ray powder pattern in this record (λ = 1.5418 Å (Cu Kα)).
Intensities are scaled so that the largest is 100.

Largest 6 diffraction maxima, in order of rising 2θ, 2θ from 10° to 90°:
2theta	I_rel
30.83	49
36.75	33
42.69	34
43.43	100
45.61	27
70.81	22

Crystal structure
```
data_TbCuNi4
_chemical_formula_sum 'Tb1 Cu1 Ni4'
_space_group_name_H-M_alt 'P 1'
_space_group_IT_number 1
_cell_length_a 4.891
_cell_length_b 4.891
_cell_length_c 3.978
_cell_angle_alpha 90.00
_cell_angle_beta 90.00
_cell_angle_gamma 120.00
loop_
_space_group_symop_operation_xyz
'x,y,z'
loop_
_atom_site_label
_atom_site_fract_x
_atom_site_fract_y
_atom_site_fract_z
Tb1 0.000 0.000 0.000
Cu1 0.333 0.667 0.000
Ni1 0.501 0.002 0.500
Ni2 0.501 0.499 0.500
Ni3 0.667 0.333 0.000
Ni4 0.998 0.499 0.500
```

[14]
For TbCu2Ni3, DFT lattice parameters and positions (GGA-PBE) gives the simulated X-ray powder pattern in this record (λ = 1.5418 Å (Cu Kα)).
Intensities are scaled so that the largest is 100.

Largest 6 diffraction maxima, in order of rising 2θ, 2θ from 10° to 90°:
2theta	I_rel
30.75	46
36.41	33
42.30	33
43.18	100
45.74	26
70.20	22

Crystal structure
```
data_TbCu2Ni3
_chemical_formula_sum 'Tb1 Cu2 Ni3'
_space_group_name_H-M_alt 'P 1'
_space_group_IT_number 1
_cell_length_a 4.935
_cell_length_b 4.935
_cell_length_c 3.967
_cell_angle_alpha 90.00
_cell_angle_beta 90.00
_cell_angle_gamma 120.00
loop_
_space_group_symop_operation_xyz
'x,y,z'
loop_
_atom_site_label
_atom_site_fract_x
_atom_site_fract_y
_atom_site_fract_z
Tb1 0.000 0.000 0.000
Cu1 0.333 0.667 0.000
Cu2 0.667 0.333 0.000
Ni1 0.000 0.500 0.500
Ni2 0.500 0.000 0.500
Ni3 0.500 0.500 0.500
```